[1]
# Ac3Si2O
Simulated X-ray diffraction stick pattern, Cu Kα. Input: a cell relaxed with PBE.
Neutral-atom scattering factors, no anomalous dispersion.

Structure:
a = 4.2836 Å, b = 4.9192 Å, c = 17.1494 Å
α = 90.00°, β = 90.00°, γ = 90.00°
Space group Immm (No. 71)
Symmetry-distinct sites (fractional):
Ac 0.0000 0.0000 0.0000 (multiplicity 2)
Ac 0.0000 0.5000 0.1596 (multiplicity 4)
Si 0.0000 0.5000 0.3505 (multiplicity 4)
O 0.0000 0.5000 0.0000 (multiplicity 2)

The 10 most intense peaks (10 to 90 degrees two-theta), in order of falling intensity:
23.86°, I = 100, hkl 0 1 3; 21.38°, I = 74, hkl 1 0 1; 34.77°, I = 66, hkl 1 1 4; 29.55°, I = 58, hkl 1 1 2; 31.30°, I = 38, hkl 0 0 6; 49.05°, I = 31, hkl 2 1 3; 42.20°, I = 29, hkl 2 0 0; 36.53°, I = 27, hkl 0 2 0; 42.72°, I = 26, hkl 1 2 1; 48.85°, I = 22, hkl 0 2 6

[2]
# CeTiNbO6
Simulated X-ray diffraction stick pattern, Cu Kα. Input: a cell relaxed with PBE.
Neutral-atom scattering factors, no anomalous dispersion.

Structure:
a = 11.2062 Å, b = 5.3467 Å, c = 7.5658 Å
α = 90.00°, β = 90.00°, γ = 90.00°
Space group Pna2_1 (No. 33)
Symmetry-distinct sites (fractional):
Ce 0.0429 0.0462 0.0000 (multiplicity 4)
Ti 0.1400 0.5315 0.7427 (multiplicity 4)
Nb 0.1470 0.5383 0.2565 (multiplicity 4)
O 0.0262 0.2642 0.2897 (multiplicity 4)
O 0.0269 0.2613 0.7101 (multiplicity 4)
O 0.1182 0.6641 0.5026 (multiplicity 4)
O 0.1426 0.4468 0.9974 (multiplicity 4)
O 0.2082 0.8731 0.8120 (multiplicity 4)
O 0.2127 0.8800 0.1887 (multiplicity 4)

The 10 most intense peaks (10 to 90 degrees two-theta), in order of falling intensity:
30.02°, I = 100, hkl 1 1 2; 29.16°, I = 69, hkl 3 1 0; 28.47°, I = 32, hkl 2 0 2; 57.26°, I = 28, hkl 3 1 4; 19.72°, I = 24, hkl 2 0 1; 33.52°, I = 23, hkl 0 2 0; 15.82°, I = 21, hkl 2 0 0; 44.54°, I = 21, hkl 2 2 2; 31.52°, I = 20, hkl 3 1 1; 21.85°, I = 19, hkl 1 1 1

[3]
# La3Zn3Hg
Simulated X-ray diffraction stick pattern, Cu Kα. Input: a cell relaxed with PBE.
Neutral-atom scattering factors, no anomalous dispersion.

Structure:
a = 3.7452 Å, b = 4.7165 Å, c = 20.7096 Å
α = 90.00°, β = 90.00°, γ = 90.00°
Space group Imm2 (No. 44)
Symmetry-distinct sites (fractional):
La 0.0000 0.0000 0.0000 (multiplicity 2)
La 0.0000 0.0000 0.3865 (multiplicity 2)
La 0.0000 0.5000 0.1875 (multiplicity 2)
Zn 0.0000 0.0000 0.5549 (multiplicity 2)
Zn 0.0000 0.0000 0.8339 (multiplicity 2)
Zn 0.0000 0.5000 0.6224 (multiplicity 2)
Hg 0.0000 0.5000 0.7569 (multiplicity 2)

The 10 most intense peaks (10 to 90 degrees two-theta), in order of falling intensity:
31.71°, I = 100, hkl 1 1 2; 35.83°, I = 57, hkl 0 1 7; 32.22°, I = 54, hkl 1 0 5; 38.16°, I = 33, hkl 0 2 0; 50.78°, I = 30, hkl 1 2 5; 61.85°, I = 23, hkl 2 1 7; 63.43°, I = 18, hkl 2 2 0; 48.62°, I = 16, hkl 2 0 0; 22.84°, I = 16, hkl 0 1 3; 40.35°, I = 16, hkl 1 1 6

[4]
# Mg2CdIn3
Simulated X-ray diffraction stick pattern, Cu Kα. Input: a cell relaxed with PBE.
Neutral-atom scattering factors, no anomalous dispersion.

Structure:
a = 5.6553 Å, b = 10.2792 Å, c = 10.0749 Å
α = 90.00°, β = 99.54°, γ = 90.00°
Space group C2/m (No. 12)
Symmetry-distinct sites (fractional):
Mg 0.0000 0.0000 0.0000 (multiplicity 2)
Mg 0.0000 0.1692 0.5000 (multiplicity 4)
Mg 0.0000 0.5000 0.5000 (multiplicity 2)
Cd 0.0000 0.3344 0.0000 (multiplicity 4)
In 0.2421 0.0000 0.7469 (multiplicity 4)
In 0.2430 0.3341 0.7474 (multiplicity 8)

The 10 most intense peaks (10 to 90 degrees two-theta), in order of falling intensity:
32.71°, I = 100, hkl 1 3 1; 39.33°, I = 60, hkl 1 3 -3; 34.17°, I = 47, hkl 2 0 -2; 36.16°, I = 39, hkl 0 0 4; 39.60°, I = 29, hkl 2 0 2; 17.85°, I = 28, hkl 0 0 2; 55.66°, I = 21, hkl 3 3 -1; 58.40°, I = 18, hkl 1 3 5; 53.49°, I = 15, hkl 0 6 0; 31.17°, I = 14, hkl 1 3 -1

[5]
# Ca3Mn2N4
Simulated X-ray diffraction stick pattern, Cu Kα. Input: a cell relaxed with PBE.
Neutral-atom scattering factors, no anomalous dispersion.

Structure:
a = 5.6362 Å, b = 9.5945 Å, c = 9.0740 Å
α = 90.00°, β = 90.00°, γ = 90.00°
Space group Pnna (No. 52)
Symmetry-distinct sites (fractional):
Ca 0.1146 0.1564 0.0836 (multiplicity 8)
Ca 0.2500 0.0000 0.4022 (multiplicity 4)
Mn 0.1485 0.2500 0.7500 (multiplicity 4)
Mn 0.2500 0.0000 0.7342 (multiplicity 4)
N 0.0036 0.0844 0.8367 (multiplicity 8)
N 0.1235 0.6424 0.8763 (multiplicity 8)

The 10 most intense peaks (10 to 90 degrees two-theta), in order of falling intensity:
33.63°, I = 100, hkl 1 0 3; 18.53°, I = 58, hkl 1 0 1; 34.94°, I = 49, hkl 1 1 3; 29.62°, I = 37, hkl 0 3 1; 37.94°, I = 36, hkl 1 3 2; 33.13°, I = 32, hkl 2 1 0; 51.26°, I = 32, hkl 1 4 3; 38.35°, I = 30, hkl 2 2 1; 19.57°, I = 28, hkl 0 0 2; 61.24°, I = 26, hkl 0 0 6

[6]
# SrAc2IO8
Simulated X-ray diffraction stick pattern, Cu Kα. Input: a cell relaxed with PBE.
Neutral-atom scattering factors, no anomalous dispersion.

Structure:
a = 4.7166 Å, b = 7.7859 Å, c = 5.4220 Å
α = 90.00°, β = 95.12°, γ = 90.00°
Space group P2/m (No. 10)
Symmetry-distinct sites (fractional):
Sr 0.0000 0.0000 0.0000 (multiplicity 1)
Ac 0.5000 0.2616 0.5000 (multiplicity 2)
I 0.0000 0.5000 0.0000 (multiplicity 1)
O 0.0995 0.3162 0.7831 (multiplicity 4)
O 0.3532 0.5000 0.1931 (multiplicity 2)
O 0.4690 0.0000 0.2527 (multiplicity 2)

The 10 most intense peaks (10 to 90 degrees two-theta), in order of falling intensity:
28.26°, I = 100, hkl 0 2 1; 23.97°, I = 75, hkl 1 0 -1; 29.81°, I = 64, hkl 1 2 0; 26.23°, I = 63, hkl 1 0 1; 43.83°, I = 42, hkl 1 2 -2; 46.53°, I = 30, hkl 1 2 2; 38.32°, I = 26, hkl 2 0 0; 46.99°, I = 25, hkl 2 2 -1; 33.18°, I = 22, hkl 0 0 2; 56.32°, I = 22, hkl 0 2 3

[7]
# Dy11Cd9Ga4
Simulated X-ray diffraction stick pattern, Cu Kα. Input: a cell relaxed with PBE.
Neutral-atom scattering factors, no anomalous dispersion.

Structure:
a = 14.7109 Å, b = 22.0942 Å, c = 3.6657 Å
α = 90.00°, β = 90.00°, γ = 90.00°
Space group Cmmm (No. 65)
Symmetry-distinct sites (fractional):
Dy 0.0000 0.0000 0.0000 (multiplicity 2)
Dy 0.0000 0.1646 0.0000 (multiplicity 4)
Dy 0.0000 0.3701 0.0000 (multiplicity 4)
Dy 0.2014 0.5000 0.0000 (multiplicity 4)
Dy 0.2369 0.1732 0.0000 (multiplicity 8)
Cd 0.0000 0.5000 0.5000 (multiplicity 2)
Cd 0.1057 0.2643 0.5000 (multiplicity 8)
Cd 0.1412 0.0723 0.5000 (multiplicity 8)
Ga 0.1508 0.3999 0.5000 (multiplicity 8)

The 10 most intense peaks (10 to 90 degrees two-theta), in order of falling intensity:
34.51°, I = 100, hkl 4 0 1; 32.82°, I = 13, hkl 3 3 1; 61.93°, I = 11, hkl 4 6 2; 49.75°, I = 11, hkl 0 0 2; 36.72°, I = 10, hkl 3 5 1; 32.31°, I = 7, hkl 1 5 1; 31.72°, I = 7, hkl 2 4 1; 49.54°, I = 7, hkl 8 0 0; 61.79°, I = 7, hkl 4 12 1; 37.13°, I = 6, hkl 1 9 0

[8]
# Ac5AlSn4
Simulated X-ray diffraction stick pattern, Cu Kα. Input: a cell relaxed with PBE.
Neutral-atom scattering factors, no anomalous dispersion.

Structure:
a = 3.8168 Å, b = 3.8168 Å, c = 22.8922 Å
α = 90.00°, β = 90.00°, γ = 90.00°
Space group P4/mmm (No. 123)
Symmetry-distinct sites (fractional):
Ac 0.0000 0.0000 0.0000 (multiplicity 1)
Ac 0.0000 0.0000 0.2030 (multiplicity 2)
Ac 0.0000 0.0000 0.4058 (multiplicity 2)
Al 0.5000 0.5000 0.5000 (multiplicity 1)
Sn 0.5000 0.5000 0.1012 (multiplicity 2)
Sn 0.5000 0.5000 0.3032 (multiplicity 2)

The 10 most intense peaks (10 to 90 degrees two-theta), in order of falling intensity:
30.49°, I = 100, hkl 1 0 5; 33.19°, I = 41, hkl 1 1 0; 57.63°, I = 35, hkl 2 1 5; 52.41°, I = 22, hkl 1 1 10; 47.65°, I = 15, hkl 2 0 0; 23.31°, I = 13, hkl 1 0 0; 63.46°, I = 12, hkl 2 0 10; 39.36°, I = 12, hkl 0 0 10; 85.31°, I = 11, hkl 2 1 15; 65.92°, I = 10, hkl 1 0 15

[9]
# La7Nd3Y2
Simulated X-ray diffraction stick pattern, Cu Kα. Input: a cell relaxed with PBE.
Neutral-atom scattering factors, no anomalous dispersion.

Structure:
a = 6.0370 Å, b = 3.6457 Å, c = 19.6086 Å
α = 90.00°, β = 93.49°, γ = 90.00°
Space group P2/m (No. 10)
Symmetry-distinct sites (fractional):
La 0.0000 0.0000 0.0000 (multiplicity 1)
La 0.1798 0.5000 0.1831 (multiplicity 2)
La 0.2560 0.5000 0.5331 (multiplicity 2)
La 0.3229 0.0000 0.8541 (multiplicity 2)
Nd 0.2193 0.0000 0.3646 (multiplicity 2)
Nd 0.5000 0.5000 0.0000 (multiplicity 1)
Y 0.2915 0.5000 0.7026 (multiplicity 2)

The 10 most intense peaks (10 to 90 degrees two-theta), in order of falling intensity:
30.35°, I = 100, hkl 1 1 2; 29.70°, I = 46, hkl 2 0 -1; 30.56°, I = 33, hkl 0 1 4; 31.98°, I = 28, hkl 1 0 6; 27.34°, I = 27, hkl 0 0 6; 33.57°, I = 26, hkl 1 1 -4; 31.40°, I = 25, hkl 1 1 -3; 29.79°, I = 15, hkl 1 1 -2; 50.04°, I = 14, hkl 0 2 0; 52.46°, I = 14, hkl 3 1 1

[10]
# CsNa3Pa4Te12
Simulated X-ray diffraction stick pattern, Cu Kα. Input: a cell relaxed with PBE.
Neutral-atom scattering factors, no anomalous dispersion.

Structure:
a = 11.4918 Å, b = 11.4918 Å, c = 11.4918 Å
α = 90.00°, β = 90.00°, γ = 90.00°
Space group Im-3 (No. 204)
Symmetry-distinct sites (fractional):
Cs 0.0000 0.0000 0.0000 (multiplicity 2)
Na 0.0000 0.0000 0.5000 (multiplicity 6)
Pa 0.2500 0.2500 0.2500 (multiplicity 8)
Te 0.0000 0.1946 0.2972 (multiplicity 24)

The 10 most intense peaks (10 to 90 degrees two-theta), in order of falling intensity:
15.42°, I = 100, hkl 2 0 0; 31.13°, I = 68, hkl 4 0 0; 34.92°, I = 65, hkl 4 0 2; 38.37°, I = 64, hkl 4 2 2; 24.50°, I = 52, hkl 3 1 0; 29.07°, I = 50, hkl 3 2 1; 69.39°, I = 42, hkl 8 2 2; 21.88°, I = 36, hkl 2 2 0; 48.85°, I = 33, hkl 5 3 2; 46.05°, I = 31, hkl 5 0 3

What did the eighth record say?
# Ac5AlSn4
Simulated X-ray diffraction stick pattern, Cu Kα. Input: a cell relaxed with PBE.
Neutral-atom scattering factors, no anomalous dispersion.

Structure:
a = 3.8168 Å, b = 3.8168 Å, c = 22.8922 Å
α = 90.00°, β = 90.00°, γ = 90.00°
Space group P4/mmm (No. 123)
Symmetry-distinct sites (fractional):
Ac 0.0000 0.0000 0.0000 (multiplicity 1)
Ac 0.0000 0.0000 0.2030 (multiplicity 2)
Ac 0.0000 0.0000 0.4058 (multiplicity 2)
Al 0.5000 0.5000 0.5000 (multiplicity 1)
Sn 0.5000 0.5000 0.1012 (multiplicity 2)
Sn 0.5000 0.5000 0.3032 (multiplicity 2)

The 10 most intense peaks (10 to 90 degrees two-theta), in order of falling intensity:
30.49°, I = 100, hkl 1 0 5; 33.19°, I = 41, hkl 1 1 0; 57.63°, I = 35, hkl 2 1 5; 52.41°, I = 22, hkl 1 1 10; 47.65°, I = 15, hkl 2 0 0; 23.31°, I = 13, hkl 1 0 0; 63.46°, I = 12, hkl 2 0 10; 39.36°, I = 12, hkl 0 0 10; 85.31°, I = 11, hkl 2 1 15; 65.92°, I = 10, hkl 1 0 15